The following is a theoretical powder diffraction line list of K4Na4Mo7WO24. It was derived from a cell relaxed with GGA+U, using Cu Kα (weighted mean of Kα1 and Kα2).
Intensities are scaled so that the largest is 100.

Most intense lines, 10 to 90 degrees two-theta, in order of falling intensity:
Position (°2θ)  Rel. int.  (hkl)
31.65  100  2 2 0
22.23  69  2 0 0
45.43  27  4 0 0
56.41  25  4 2 2
51.13  18  4 2 0
66.05  15  4 0 4
45.23  13  0 0 4
56.28  13  2 2 4
75.24  11  6 2 0
50.98  9  2 0 4

Structural model:
Cell lengths 7.986, 7.986, 8.018 Å; angles 90.00, 90.00, 90.00 degrees
Atoms (fractional coordinates):
K (0.249, 0.249, 0.000)
K (0.249, 0.751, 0.000)
K (0.751, 0.249, 0.000)
K (0.751, 0.751, 0.000)
Na (0.243, 0.243, 0.498)
Na (0.243, 0.757, 0.498)
Na (0.757, 0.243, 0.498)
Na (0.757, 0.757, 0.498)
Mo (0.000, 0.000, 0.250)
Mo (0.000, 0.500, 0.252)
Mo (0.000, 0.500, 0.746)
Mo (0.500, 0.000, 0.252)
Mo (0.500, 0.000, 0.746)
Mo (0.500, 0.500, 0.254)
Mo (0.500, 0.500, 0.749)
W (0.000, 0.000, 0.746)
O (0.000, 0.000, 0.506)
O (0.000, 0.000, 0.986)
O (0.000, 0.244, 0.742)
O (0.000, 0.254, 0.255)
O (0.000, 0.500, 0.009)
O (0.000, 0.500, 0.493)
O (0.000, 0.746, 0.255)
O (0.000, 0.756, 0.742)
O (0.238, 0.500, 0.746)
O (0.243, 0.500, 0.256)
O (0.244, 0.000, 0.742)
O (0.254, 0.000, 0.255)
O (0.500, 0.000, 0.009)
O (0.500, 0.000, 0.493)
O (0.500, 0.238, 0.746)
O (0.500, 0.243, 0.256)
O (0.500, 0.500, 0.015)
O (0.500, 0.500, 0.490)
O (0.500, 0.757, 0.256)
O (0.500, 0.762, 0.746)
O (0.746, 0.000, 0.255)
O (0.756, 0.000, 0.742)
O (0.757, 0.500, 0.256)
O (0.762, 0.500, 0.746)